Simulated X-ray diffraction stick pattern
Compound: HfVFe2O6
Radiation: Cu Kα X-rays
Structure: a GGA+U-relaxed structure
Neutral-atom scattering factors, no anomalous dispersion.

Top 8 peaks for 2θ = 10–80°, by intensity:
d [Å]	2theta	I_rel	hkl
2.786	32.1	100	1 1 -1
2.647	33.9	92	-1 1 1
4.353	20.4	51	0 1 1
2.804	31.9	51	1 0 1
2.618	34.2	41	2 1 0
3.824	23.3	31	1 1 1
4.703	18.9	30	0 0 1
3.804	23.4	30	1 0 -1

Unit cell a=5.2369 b=5.2950 c=5.5837 alpha=61.89 beta=89.69 gamma=60.36
Space group P1 (No. 1)
Asymmetric unit:
Hf (0.0000, 0.0000, 0.0000)
V (0.4983, 0.9996, 0.4945)
Fe (0.2843, 0.4262, 0.8669)
Fe (0.7891, 0.4267, 0.3697)
O (0.1173, 0.5074, 0.2134)
O (0.2486, 0.9071, 0.6972)
O (0.3807, 0.9120, 0.2078)
O (0.6240, 0.1662, 0.6917)
O (0.7014, 0.1778, 0.2017)
O (0.8739, 0.5288, 0.6999)